No. 1
K2MgS2O12: calculated powder X-ray diffraction pattern (copper Kα), based on the PBE geometry in the Materials Project.
Neutral-atom scattering factors, no anomalous dispersion.

Largest 10 diffraction maxima, sorted by position, 10 to 90 degrees two-theta:
2θ = 15.13°, I 335
2θ = 17.76°, I 415
2θ = 24.91°, I 527
2θ = 25.23°, I 1000
2θ = 27.20°, I 464
2θ = 28.15°, I 431
2θ = 35.95°, I 215
2θ = 36.87°, I 206
2θ = 37.57°, I 232
2θ = 46.51°, I 200

Lattice parameters (Å, degrees): 7.747 7.747 10.079 96.32 96.32 80.36
Sites, in units of the cell vectors:
K  0.089  0.589  0.765
K  0.411  0.911  0.235
K  0.589  0.089  0.765
K  0.911  0.411  0.235
Mg  0.000  0.000  0.000
Mg  0.500  0.500  0.500
S  0.217  0.217  0.522
S  0.297  0.297  0.042
S  0.703  0.703  0.958
S  0.783  0.783  0.478
O  0.010  0.010  0.799
O  0.047  0.290  0.575
O  0.170  0.170  0.051
O  0.199  0.199  0.374
O  0.202  0.798  0.000
O  0.220  0.467  0.112
O  0.290  0.047  0.575
O  0.316  0.316  0.901
O  0.329  0.644  0.370
O  0.345  0.345  0.570
O  0.356  0.671  0.630
O  0.467  0.220  0.112
O  0.533  0.780  0.888
O  0.644  0.329  0.370
O  0.655  0.655  0.430
O  0.671  0.356  0.630
O  0.684  0.684  0.099
O  0.710  0.953  0.425
O  0.780  0.533  0.888
O  0.798  0.202  0.000
O  0.801  0.801  0.626
O  0.830  0.830  0.949
O  0.953  0.710  0.425
O  0.990  0.990  0.201

---

No. 2
KMg14SbO16: calculated powder X-ray diffraction pattern (copper Kα), based on the PBE geometry in the Materials Project.
Neutral-atom scattering factors, no anomalous dispersion.

Largest 10 diffraction maxima, sorted by position, 10 to 90 degrees two-theta:
2θ = 10.13°, I 371
2θ = 22.39°, I 264
2θ = 35.25°, I 643
2θ = 40.51°, I 1000
2θ = 40.90°, I 954
2θ = 41.38°, I 903
2θ = 58.93°, I 565
2θ = 59.29°, I 544
2θ = 59.59°, I 525
2θ = 74.55°, I 491

Lattice parameters (Å, degrees): 4.453 8.729 8.825 90.00 90.00 90.00
Sites, in units of the cell vectors:
K  0.000  0.000  0.000
Mg  0.000  0.259  0.242
Mg  0.000  0.259  0.758
Mg  0.000  0.500  0.000
Mg  0.000  0.500  0.500
Mg  0.000  0.741  0.242
Mg  0.000  0.741  0.758
Mg  0.500  0.000  0.236
Mg  0.500  0.000  0.764
Mg  0.500  0.253  0.000
Mg  0.500  0.261  0.500
Mg  0.500  0.500  0.247
Mg  0.500  0.500  0.753
Mg  0.500  0.739  0.500
Mg  0.500  0.747  0.000
Sb  0.000  0.000  0.500
O  0.000  0.000  0.260
O  0.000  0.000  0.740
O  0.000  0.265  0.500
O  0.000  0.276  0.000
O  0.000  0.500  0.254
O  0.000  0.500  0.746
O  0.000  0.724  0.000
O  0.000  0.735  0.500
O  0.500  0.000  0.000
O  0.500  0.000  0.500
O  0.500  0.250  0.252
O  0.500  0.250  0.748
O  0.500  0.500  0.000
O  0.500  0.500  0.500
O  0.500  0.750  0.252
O  0.500  0.750  0.748

---

No. 3
K6MgSb2O8: calculated powder X-ray diffraction pattern (copper Kα), based on the PBE geometry in the Materials Project.
Neutral-atom scattering factors, no anomalous dispersion.

Largest 10 diffraction maxima, sorted by position, 10 to 90 degrees two-theta:
2θ = 15.85°, I 1000
2θ = 16.06°, I 488
2θ = 17.59°, I 736
2θ = 26.31°, I 450
2θ = 27.83°, I 676
2θ = 28.05°, I 365
2θ = 29.62°, I 802
2θ = 30.29°, I 496
2θ = 32.39°, I 618
2θ = 41.82°, I 484

Lattice parameters (Å, degrees): 6.101 7.205 8.425 76.22 81.00 65.05
Sites, in units of the cell vectors:
K  0.000  0.000  0.000
K  0.019  0.038  0.443
K  0.143  0.561  0.847
K  0.300  0.478  0.475
K  0.575  0.959  0.315
K  0.780  0.430  0.690
Mg  0.016  0.472  0.186
Sb  0.542  0.960  0.773
Sb  0.561  0.582  0.129
O  0.260  0.119  0.637
O  0.294  0.794  0.237
O  0.364  0.403  0.168
O  0.437  0.725  0.889
O  0.746  0.448  0.351
O  0.778  0.750  0.078
O  0.797  0.802  0.623
O  0.865  0.370  0.037